No. 1
LaNd6Tl4: calculated powder diffraction line list (Cu Kα), based on a cell relaxed with GGA-PBE.
Peak positions follow from Bragg's law for the DFT cell and can differ from measured ones.

Cell and atoms:
abc: 8.289 8.289 8.289
angles: 121.83 121.83 86.86
Sites, in units of the cell vectors:
1 La 0.000 0.000 0.000
2 Nd 0.000 0.500 0.500
3 Nd 0.097 0.472 0.000
4 Nd 0.472 0.097 0.000
5 Nd 0.500 0.000 0.500
6 Nd 0.528 0.528 0.625
7 Nd 0.903 0.903 0.375
8 Tl 0.266 0.266 0.668
9 Tl 0.402 0.734 0.000
10 Tl 0.598 0.598 0.332
11 Tl 0.734 0.402 0.000

Largest 8 diffraction maxima, by intensity, 10 to 90 degrees two-theta:
Position (°2θ)  I/Imax
33.42  100
33.68  60
34.20  58
13.22  43
52.05  38
25.81  35
26.62  34
35.22  32

***

No. 2
Ir2PtO6: calculated powder diffraction line list (Cu Kα), based on a cell relaxed with GGA-PBE.
Peak positions follow from Bragg's law for the DFT cell and can differ from measured ones.

Cell and atoms:
abc: 8.891 8.891 4.315
angles: 90.00 90.00 120.00
Sites, in units of the cell vectors:
1 Ir 0.000 0.351 0.000
2 Ir 0.000 0.685 0.500
3 Ir 0.315 0.315 0.500
4 Ir 0.351 0.000 0.000
5 Ir 0.649 0.649 0.000
6 Ir 0.685 0.000 0.500
7 Pt 0.000 0.000 0.000
8 Pt 0.333 0.667 0.494
9 Pt 0.667 0.333 0.506
10 O 0.102 0.224 0.238
11 O 0.111 0.577 0.246
12 O 0.122 0.898 0.238
13 O 0.215 0.443 0.739
14 O 0.224 0.102 0.762
15 O 0.228 0.785 0.739
16 O 0.423 0.534 0.246
17 O 0.443 0.215 0.261
18 O 0.466 0.889 0.246
19 O 0.534 0.423 0.754
20 O 0.557 0.772 0.739
21 O 0.577 0.111 0.754
22 O 0.772 0.557 0.261
23 O 0.776 0.878 0.238
24 O 0.785 0.228 0.261
25 O 0.878 0.776 0.762
26 O 0.889 0.466 0.754
27 O 0.898 0.122 0.762

Largest 8 diffraction maxima, by intensity, 10 to 90 degrees two-theta:
Position (°2θ)  I/Imax
28.83  100
34.96  72
55.65  53
45.93  26
31.13  24
58.99  24
62.69  19
37.27  18

***

No. 3
Y8HoTm4: calculated powder diffraction line list (Cu Kα), based on a cell relaxed with GGA-PBE.
Peak positions follow from Bragg's law for the DFT cell and can differ from measured ones.

Cell and atoms:
abc: 10.074 10.074 10.074
angles: 42.09 42.09 42.09
Sites, in units of the cell vectors:
1 Y 0.202 0.750 0.750
2 Y 0.215 0.215 0.215
3 Y 0.250 0.250 0.798
4 Y 0.250 0.798 0.250
5 Y 0.750 0.202 0.750
6 Y 0.750 0.750 0.202
7 Y 0.785 0.785 0.785
8 Y 0.798 0.250 0.250
9 Ho 0.500 0.500 0.500
10 Tm 0.000 0.000 0.000
11 Tm 0.000 0.500 0.500
12 Tm 0.500 0.000 0.500
13 Tm 0.500 0.500 0.000

Largest 8 diffraction maxima, by intensity, 10 to 90 degrees two-theta:
Position (°2θ)  I/Imax
31.38  100
38.89  37
32.90  36
50.45  29
29.23  25
28.68  22
82.68  18
59.37  18

***

No. 4
Ac2Mg4InGa3: calculated powder diffraction line list (Cu Kα), based on a cell relaxed with GGA-PBE.
Peak positions follow from Bragg's law for the DFT cell and can differ from measured ones.

Cell and atoms:
abc: 4.648 4.648 11.665
angles: 90.00 90.00 90.00
Sites, in units of the cell vectors:
1 Ac 0.000 0.500 0.246
2 Ac 0.500 0.000 0.754
3 Mg 0.000 0.000 0.000
4 Mg 0.000 0.500 0.640
5 Mg 0.500 0.000 0.360
6 Mg 0.500 0.500 0.000
7 In 0.000 0.000 0.500
8 Ga 0.000 0.500 0.866
9 Ga 0.500 0.000 0.134
10 Ga 0.500 0.500 0.500

Largest 8 diffraction maxima, by intensity, 10 to 90 degrees two-theta:
Position (°2θ)  I/Imax
31.24  100
29.96  67
20.57  46
38.74  43
49.73  33
43.40  31
59.57  24
65.48  24

***

No. 5
AcAl2AgAu4: calculated powder diffraction line list (Cu Kα), based on a cell relaxed with GGA-PBE.
Peak positions follow from Bragg's law for the DFT cell and can differ from measured ones.

Cell and atoms:
abc: 9.976 9.976 9.976
angles: 26.00 26.00 26.00
Sites, in units of the cell vectors:
1 Ac 0.000 0.000 0.000
2 Al 0.233 0.233 0.233
3 Al 0.767 0.767 0.767
4 Ag 0.500 0.500 0.500
5 Au 0.126 0.126 0.126
6 Au 0.401 0.401 0.401
7 Au 0.599 0.599 0.599
8 Au 0.874 0.874 0.874

Largest 8 diffraction maxima, by intensity, 10 to 90 degrees two-theta:
Position (°2θ)  I/Imax
40.18  100
33.87  88
23.70  45
38.83  37
31.61  33
63.66  28
53.54  24
26.03  24

***

Repeat the first record exactly.
LaNd6Tl4: calculated powder diffraction line list (Cu Kα), based on a cell relaxed with GGA-PBE.
Peak positions follow from Bragg's law for the DFT cell and can differ from measured ones.

Cell and atoms:
abc: 8.289 8.289 8.289
angles: 121.83 121.83 86.86
Sites, in units of the cell vectors:
1 La 0.000 0.000 0.000
2 Nd 0.000 0.500 0.500
3 Nd 0.097 0.472 0.000
4 Nd 0.472 0.097 0.000
5 Nd 0.500 0.000 0.500
6 Nd 0.528 0.528 0.625
7 Nd 0.903 0.903 0.375
8 Tl 0.266 0.266 0.668
9 Tl 0.402 0.734 0.000
10 Tl 0.598 0.598 0.332
11 Tl 0.734 0.402 0.000

Largest 8 diffraction maxima, by intensity, 10 to 90 degrees two-theta:
Position (°2θ)  I/Imax
33.42  100
33.68  60
34.20  58
13.22  43
52.05  38
25.81  35
26.62  34
35.22  32